Diffraction record for SmYEr2. The PXRD pattern is theoretical, not measured: it uses a structure optimized by DFT (GGA-PBE) and CuKα.
Intensities are scaled so that the largest is 100.

Structure:
Cell: 3.635 11.304 6.276 Å, 90.00 90.00 90.00°
Space group Imm2 (No. 44)
Inequivalent atoms, fractional coordinates:
Sm 0.000 0.000 0.000 x2
Y 0.000 0.500 0.999 x2
Er 0.000 0.250 0.666 x4

Principal peaks in the range 10° ≤ 2θ ≤ 90°, sorted by position:
28.4 deg, I = 25, (1 0 1); 31.7 deg, I = 24, (0 4 0); 32.6 deg, I = 100, (1 2 1); 43.0 deg, I = 17, (1 4 1); 50.2 deg, I = 7, (2 0 0); 50.3 deg, I = 13, (1 0 3); 57.0 deg, I = 20, (1 6 1); 60.6 deg, I = 7, (2 4 0); 60.7 deg, I = 15, (1 4 3); 61.2 deg, I = 11, (2 2 2)